The following is a theoretical powder diffractogram of Cs2PBr5O. It was derived from a DFT-relaxed cell (GGA-PBE, Alexandria), using Cu Kα.
Intensities are scaled so that the largest is 100.

Main lines, low angle first (2θ from 10° to 80°):
- 2θ 14.19, I = 19, (1 0 1)
- 2θ 23.14, I = 20, (1 1 2)
- 2θ 28.60, I = 100, (2 0 2)
- 2θ 32.37, I = 19, (0 0 4)
- 2θ 33.53, I = 41, (2 2 0)
- 2θ 47.29, I = 25, (2 2 4)
- 2θ 48.15, I = 13, (4 0 0)
- 2θ 56.97, I = 25, (4 2 2)

Cell and atoms:
abc: 7.559 7.559 11.064
angles: 90.00 90.00 90.00
Space group I4mm (No. 107)
Symmetry-distinct sites (fractional):
Cs 0.000 0.500 0.000 x4
P 0.000 0.000 0.224 x2
Br 0.000 0.000 0.458 x2
Br 0.232 0.232 0.248 x8
O 0.000 0.000 0.089 x2